(1)
The following is a simulated powder diffraction line list of Pm4PrNd15. It was derived from a cell relaxed with GGA-PBE, using Cu Kα.
No peak broadening, texture or thermal motion is included.

Top 6 peaks for 15° ≤ 2θ ≤ 90°, most intense first:
2θ = 29.75°, rel. 100; 2θ = 34.49°, rel. 51; 2θ = 58.89°, rel. 43; 2θ = 49.57°, rel. 36; 2θ = 80.49°, rel. 18; 2θ = 61.79°, rel. 13

Cell lengths 5.205, 5.205, 25.972 Å; angles 90.00, 90.00, 90.00 degrees
Space group P4/mmm (No. 123)
Unique sites:
Pm (0.000, 0.000, 0.100)
Pm (0.000, 0.000, 0.300)
Pr (0.000, 0.000, 0.500)
Nd (0.000, 0.500, 0.000)
Nd (0.000, 0.500, 0.200)
Nd (0.000, 0.500, 0.399)
Nd (0.500, 0.500, 0.100)
Nd (0.500, 0.500, 0.300)
Nd (0.500, 0.500, 0.500)

(2)
The following is a simulated powder diffraction line list of Tb2ZnNi9. It was derived from a cell relaxed with GGA-PBE, using Cu Kα.
No peak broadening, texture or thermal motion is included.

Top 6 peaks for 15° ≤ 2θ ≤ 90°, most intense first:
2θ = 43.24°, rel. 100; 2θ = 36.68°, rel. 57; 2θ = 36.55°, rel. 52; 2θ = 33.48°, rel. 49; 2θ = 42.78°, rel. 44; 2θ = 46.77°, rel. 39

Cell lengths 4.9002, 4.9002, 24.1333 Å; angles 90.00, 90.00, 120.00 degrees
Space group R-3m (No. 166, hexagonal axes)
Unique sites:
Tb (0.0000, 0.0000, 0.1345)
Zn (0.0000, 0.0000, 0.0000)
Ni (0.0000, 0.0000, 0.3330)
Ni (0.0000, 0.0000, 0.5000)
Ni (0.0009, 0.5004, 0.9189)

(3)
The following is a simulated powder diffraction line list of Ag5PdF8. It was derived from a cell relaxed with GGA-PBE, using Cu Kα.
No peak broadening, texture or thermal motion is included.

Top 6 peaks for 15° ≤ 2θ ≤ 90°, most intense first:
2θ = 30.48°, rel. 100; 2θ = 35.23°, rel. 51; 2θ = 28.22°, rel. 35; 2θ = 40.62°, rel. 30; 2θ = 33.60°, rel. 27; 2θ = 48.01°, rel. 19

Cell lengths 7.023, 7.023, 8.201 Å; angles 90.00, 90.00, 90.00 degrees
Space group I-4 (No. 82)
Unique sites:
Ag (0.000, 0.000, 0.000)
Ag (0.076, 0.755, 0.614)
Pd (0.000, 0.500, 0.250)
F (0.029, 0.785, 0.270)
F (0.071, 0.695, 0.929)

(4)
The following is a simulated powder diffraction line list of Hf2TaAl. It was derived from a cell relaxed with GGA-PBE, using Cu Kα.
No peak broadening, texture or thermal motion is included.

Top 6 peaks for 15° ≤ 2θ ≤ 90°, most intense first:
2θ = 36.51°, rel. 100; 2θ = 41.35°, rel. 35; 2θ = 72.23°, rel. 28; 2θ = 62.33°, rel. 21; 2θ = 20.34°, rel. 16; 2θ = 44.47°, rel. 14

Cell lengths 4.367, 4.367, 4.074 Å; angles 90.00, 90.00, 90.00 degrees
Space group P4/mmm (No. 123)
Unique sites:
Hf (0.000, 0.500, 0.000)
Ta (0.000, 0.000, 0.500)
Al (0.500, 0.500, 0.500)